The following is a computed powder diffractogram of BeV4C. It was derived from a crystal structure in Alexandria, relaxed with PBE, using CuKα.

Main lines, most intense first (2θ = 10–90°):
(hkl)  2theta  d/Å  intensity
2 1 0  39.1  2.304  100
0 2 1  38.6  2.331  98
1 0 2  39.6  2.278  70
1 1 -2  41.8  2.159  60
2 1 -1  42.2  2.142  59
1 2 1  43.0  2.105  44
1 2 3  68.1  1.377  26
1 0 -2  37.9  2.372  25
1 1 -3  58.0  1.591  19
2 3 -1  67.0  1.397  18
2 1 1  43.7  2.073  18
1 3 -1  58.6  1.576  17

Crystal structure
Unit cell a=5.145 b=5.212 c=5.216 alpha=90.00 beta=92.86 gamma=90.00
Space group P2_1/c (No. 14)
Symmetry-distinct sites (fractional):
1 Be 0.000 0.000 0.000 (multiplicity 2)
2 V 0.153 0.127 0.387 (multiplicity 4)
3 V 0.378 0.655 0.334 (multiplicity 4)
4 C 0.500 0.000 0.500 (multiplicity 2)

=====

The following is a computed powder diffractogram of LiTlO2. It was derived from a crystal structure in Alexandria, relaxed with PBE, using CuKα.

Main lines, most intense first (2θ = 10–90°):
(hkl)  2theta  d/Å  intensity
1 0 0  17.3  5.113  100
0 1 1  31.9  2.808  50
1 1 1  39.7  2.269  37
1 1 -1  33.0  2.712  33
1 0 -2  30.6  2.926  25
2 0 -2  37.4  2.402  22
2 1 -1  42.6  2.125  20
0 0 2  33.1  2.704  17
1 1 -3  54.4  1.687  15
2 0 0  35.1  2.556  12
3 1 -1  57.0  1.614  11
2 1 -3  56.6  1.625  11

Crystal structure
Unit cell a=5.586 b=3.286 c=5.908 alpha=90.00 beta=113.74 gamma=90.00
Space group P2_1/m (No. 11)
Symmetry-distinct sites (fractional):
1 Li 0.019 0.250 0.213 (multiplicity 2)
2 Tl 0.470 0.250 0.738 (multiplicity 2)
3 O 0.245 0.750 0.465 (multiplicity 2)
4 O 0.254 0.250 0.998 (multiplicity 2)